# SrSmScO4
Computed powder XRD pattern, Cu Kα, 1.54184 Å. Input: a GGA-PBE-relaxed structure.

Peak list (6 most intense, 10° ≤ 2θ ≤ 90°, low angle first)
h k l  Position (°2θ)  I/Imax
1 1 1  22.90  29
0 0 2  30.39  33
1 3 1  30.88  100
2 0 0  31.38  35
2 0 2  44.24  46
1 3 3  54.31  25

Cell and atoms:
abc: 5.7010 12.2918 5.8818
angles: 90.00 90.00 90.00
Space group Cmc2_1 (No. 36)
Unique sites:
Sr: 0.0000 0.1044 0.0000 x4
Sm: 0.0000 0.3940 0.9790 x4
Sc: 0.0000 0.2460 0.4830 x4
O: 0.0000 0.0837 0.4168 x4
O: 0.0000 0.4326 0.5936 x4
O: 0.2404 0.2783 0.2235 x8

---

# Sm2ScTaO7
Computed powder XRD pattern, Cu Kα, 1.54184 Å. Input: a GGA-PBE-relaxed structure.

Peak list (6 most intense, 10° ≤ 2θ ≤ 90°, low angle first)
h k l  Position (°2θ)  I/Imax
0 2 2  29.12  99
2 0 2  29.45  100
0 0 4  33.94  66
2 2 4  48.77  62
2 4 2  57.60  31
4 2 2  58.17  28

Cell and atoms:
abc: 7.4121 7.5346 10.5560
angles: 90.00 90.00 90.00
Space group Imma (No. 74)
Unique sites:
Sm: 0.0000 0.0000 0.0000 x4
Sm: 0.2500 0.2500 0.2500 x4
Sc: 0.2500 0.2500 0.7500 x4
Ta: 0.0000 0.0000 0.5000 x4
O: 0.0000 0.2500 0.1283 x4
O: 0.0000 0.2500 0.4335 x4
O: 0.0000 0.2500 0.8473 x4
O: 0.1985 0.0327 0.6253 x16